1.
# Na12MgTl2
Computed powder diffraction line list, Cu Kα, 1.54184 Å. Input: a GGA-PBE-relaxed structure.
Lines closer than 0.1° are merged.

Structure:
a b c (Å): 6.6508 6.6508 25.2143
angles (deg): 90.00 90.00 90.00
Element x y z (fractional)
1 Na 0.0017 0.5017 0.0982
2 Na 0.0017 0.9983 0.9018
3 Na 0.0694 0.5694 0.5646
4 Na 0.0694 0.9306 0.4354
5 Na 0.2500 0.2500 0.2011
6 Na 0.2500 0.2500 0.3244
7 Na 0.2500 0.2500 0.6756
8 Na 0.2500 0.2500 0.7989
9 Na 0.4306 0.5694 0.4354
10 Na 0.4306 0.9306 0.5646
11 Na 0.4983 0.5017 0.9018
12 Na 0.4983 0.9983 0.0982
13 Na 0.5017 0.0017 0.9018
14 Na 0.5017 0.4983 0.0982
15 Na 0.5694 0.0694 0.4354
16 Na 0.5694 0.4306 0.5646
17 Na 0.7500 0.7500 0.2011
18 Na 0.7500 0.7500 0.3244
19 Na 0.7500 0.7500 0.6756
20 Na 0.7500 0.7500 0.7989
21 Na 0.9306 0.0694 0.5646
22 Na 0.9306 0.4306 0.4354
23 Na 0.9983 0.0017 0.0982
24 Na 0.9983 0.4983 0.9018
25 Mg 0.2500 0.7500 0.0000
26 Mg 0.7500 0.2500 0.0000
27 Tl 0.2500 0.7500 0.2093
28 Tl 0.2500 0.7500 0.7907
29 Tl 0.7500 0.2500 0.2093
30 Tl 0.7500 0.2500 0.7907

Top 6 peaks for 2θ = 10–90°, in order of rising 2θ:
index	two_theta	d [Å]	I (rel.)
0 0 3	10.5	8.405	94.6
1 1 0	18.9	4.703	67.0
1 1 3	21.7	4.104	58.6
1 1 5	25.9	3.439	87.1
2 0 2	27.7	3.215	100.0
2 0 5	32.2	2.776	75.0

2.
# Na2MgTl7
Computed powder diffraction line list, Cu Kα, 1.54184 Å. Input: a GGA-PBE-relaxed structure.
Lines closer than 0.1° are merged.

Structure:
a b c (Å): 5.1584 5.1584 13.3662
angles (deg): 90.00 90.00 120.00
Element x y z (fractional)
1 Na 0.0000 0.0000 0.0000
2 Na 0.3333 0.6667 0.5913
3 Mg 0.6667 0.3333 0.1738
4 Tl 0.0000 0.0000 0.2593
5 Tl 0.0000 0.0000 0.7210
6 Tl 0.3333 0.6667 0.0969
7 Tl 0.3333 0.6667 0.3527
8 Tl 0.3333 0.6667 0.8309
9 Tl 0.6667 0.3333 0.4524
10 Tl 0.6667 0.3333 0.9088

Top 6 peaks for 2θ = 10–90°, in order of rising 2θ:
index	two_theta	d [Å]	I (rel.)
0 0 2	13.2	6.683	27.5
0 1 2	24.0	3.714	79.6
0 1 4	33.5	2.676	100.0
1 1 0	34.8	2.579	98.4
2 0 4	49.1	1.857	41.0
1 2 4	61.5	1.507	34.2